[1]
The following is a computed powder diffraction line list of RbHo6S8. It was derived from the GGA-PBE geometry in Alexandria, using Cu Kα.
Intensities are scaled so that the largest is 100.

Main lines, low angle first (10° ≤ 2θ ≤ 90°):
Position (°2θ)	d/Å	I_rel
11.5	7.709	100
21.1	4.214	28
25.2	3.530	73
28.1	3.178	54
36.2	2.481	25
37.5	2.397	26
38.5	2.337	40
42.6	2.123	18
54.4	1.685	19
56.8	1.621	19

Crystal structure
abc: 7.734 7.734 7.734
angles: 93.13 93.13 93.13
Sites, in units of the cell vectors:
Rb1 0.000 0.000 0.000
Ho1 0.195 0.382 0.568
Ho2 0.382 0.568 0.195
Ho3 0.432 0.805 0.618
Ho4 0.568 0.195 0.382
Ho5 0.618 0.432 0.805
Ho6 0.805 0.618 0.432
S1 0.144 0.692 0.409
S2 0.254 0.254 0.254
S3 0.308 0.591 0.856
S4 0.409 0.144 0.692
S5 0.591 0.856 0.308
S6 0.692 0.409 0.144
S7 0.746 0.746 0.746
S8 0.856 0.308 0.591

=====

[2]
The following is a computed powder diffraction line list of Rb3Y2HoS6. It was derived from the GGA-PBE geometry in Alexandria, using Cu Kα.
Intensities are scaled so that the largest is 100.

Main lines, low angle first (10° ≤ 2θ ≤ 90°):
Position (°2θ)	d/Å	I_rel
11.5	7.691	13
23.1	3.846	20
26.4	3.376	36
29.7	3.012	100
40.4	2.234	35
44.4	2.039	33
47.0	1.932	13
50.7	1.802	18
54.3	1.688	17
72.7	1.300	14

Crystal structure
abc: 7.062 7.062 8.044
angles: 98.41 98.41 120.00
Sites, in units of the cell vectors:
Rb1 0.000 0.000 0.000
Rb2 0.333 0.667 0.000
Rb3 0.667 0.333 0.000
Y1 0.167 0.833 0.500
Y2 0.833 0.167 0.500
Ho1 0.500 0.500 0.500
S1 0.104 0.436 0.308
S2 0.232 0.232 0.692
S3 0.436 0.104 0.308
S4 0.564 0.896 0.692
S5 0.768 0.768 0.308
S6 0.896 0.564 0.692

=====

[3]
The following is a computed powder diffraction line list of Rb2HoSbTe4. It was derived from the GGA-PBE geometry in Alexandria, using Cu Kα.
Intensities are scaled so that the largest is 100.

Main lines, low angle first (10° ≤ 2θ ≤ 90°):
Position (°2θ)	d/Å	I_rel
10.4	8.525	26
26.6	3.352	100
33.5	2.678	14
36.1	2.490	11
36.3	2.477	21
39.6	2.277	25
39.8	2.265	13
48.5	1.877	13
54.8	1.676	10
64.2	1.451	11

Crystal structure
abc: 7.900 4.531 8.911
angles: 90.00 106.93 90.00
Sites, in units of the cell vectors:
Rb1 0.000 0.000 0.000
Rb2 0.500 0.500 0.000
Ho1 0.000 0.500 0.500
Sb1 0.500 0.000 0.500
Te1 0.232 0.000 0.697
Te2 0.266 0.500 0.304
Te3 0.734 0.500 0.696
Te4 0.768 0.000 0.303